Record 1
Computed powder X-ray diffraction pattern of LiMn2F5 for CuKα, from DFT lattice parameters and positions (GGA+U).
No peak broadening, texture or thermal motion is included.

Most intense lines, 10 to 90 degrees two-theta, in order of rising 2θ:
d_spacing  2θ (°)  I/Imax
6.210  14.3  100
5.251  16.9  86
5.213  17.0  75
3.952  22.5  41
3.105  28.8  27
2.884  31.0  74
2.801  31.9  31
2.755  32.5  34
2.501  35.9  35
1.808  50.5  36
1.747  52.4  32
1.690  54.3  30

Crystal structure
a = 8.694 Å, b = 8.873 Å, c = 6.514 Å
α = 90.00°, β = 90.00°, γ = 90.00°
Positions (direct):
Li: 0.244 0.239 0.000
Li: 0.256 0.739 0.500
Li: 0.744 0.261 0.500
Li: 0.756 0.761 0.000
Mn: 0.000 0.000 0.252
Mn: 0.000 0.000 0.748
Mn: 0.141 0.628 0.000
Mn: 0.359 0.128 0.500
Mn: 0.500 0.500 0.248
Mn: 0.500 0.500 0.752
Mn: 0.641 0.872 0.500
Mn: 0.859 0.372 0.000
F: 0.076 0.861 0.500
F: 0.086 0.864 0.000
F: 0.099 0.393 0.000
F: 0.215 0.124 0.246
F: 0.215 0.124 0.754
F: 0.285 0.624 0.254
F: 0.285 0.624 0.746
F: 0.401 0.893 0.500
F: 0.414 0.364 0.500
F: 0.424 0.361 0.000
F: 0.576 0.639 0.000
F: 0.586 0.636 0.500
F: 0.599 0.107 0.500
F: 0.715 0.376 0.254
F: 0.715 0.376 0.746
F: 0.785 0.876 0.246
F: 0.785 0.876 0.754
F: 0.901 0.607 0.000
F: 0.914 0.136 0.000
F: 0.924 0.139 0.500

=====

Record 2
Computed powder X-ray diffraction pattern of Li2Mn7F16 for CuKα, from DFT lattice parameters and positions (GGA+U).
No peak broadening, texture or thermal motion is included.

Most intense lines, 10 to 90 degrees two-theta, in order of rising 2θ:
d_spacing  2θ (°)  I/Imax
8.818  10.0  38
4.293  20.7  15
3.860  23.0  16
3.259  27.4  11
3.057  29.2  100
2.939  30.4  28
1.882  48.4  48
1.826  49.9  49
1.602  57.5  11
1.585  58.2  19
1.551  59.6  14
1.310  72.1  10

Crystal structure
a = 9.587 Å, b = 9.587 Å, c = 9.587 Å
α = 39.74°, β = 39.74°, γ = 39.74°
Positions (direct):
Li: 0.166 0.166 0.166
Li: 0.834 0.834 0.834
Mn: 0.020 0.389 0.755
Mn: 0.245 0.980 0.611
Mn: 0.389 0.755 0.020
Mn: 0.500 0.500 0.500
Mn: 0.611 0.245 0.980
Mn: 0.755 0.020 0.389
Mn: 0.980 0.611 0.245
F: 0.084 0.084 0.084
F: 0.095 0.654 0.341
F: 0.152 0.495 0.745
F: 0.255 0.848 0.505
F: 0.263 0.263 0.263
F: 0.341 0.095 0.654
F: 0.346 0.659 0.905
F: 0.495 0.745 0.152
F: 0.505 0.255 0.848
F: 0.654 0.341 0.095
F: 0.659 0.905 0.346
F: 0.737 0.737 0.737
F: 0.745 0.152 0.495
F: 0.848 0.505 0.255
F: 0.905 0.346 0.659
F: 0.916 0.916 0.916

=====

Record 3
Computed powder X-ray diffraction pattern of LiMn2F7 for CuKα, from DFT lattice parameters and positions (GGA+U).
No peak broadening, texture or thermal motion is included.

Most intense lines, 10 to 90 degrees two-theta, in order of rising 2θ:
d_spacing  2θ (°)  I/Imax
5.756  15.4  42
4.426  20.1  100
3.651  24.4  29
3.630  24.5  22
3.612  24.6  20
3.582  24.9  18
3.138  28.4  71
2.843  31.5  16
2.349  38.3  17
2.118  42.7  15
2.082  43.5  15
1.889  48.2  29

Crystal structure
a = 8.104 Å, b = 8.100 Å, c = 10.571 Å
α = 90.00°, β = 129.29°, γ = 90.00°
Positions (direct):
Li: 0.220 0.092 0.348
Li: 0.220 0.408 0.848
Li: 0.780 0.592 0.152
Li: 0.780 0.908 0.652
Mn: 0.258 0.718 0.293
Mn: 0.258 0.782 0.793
Mn: 0.280 0.118 0.081
Mn: 0.280 0.382 0.581
Mn: 0.720 0.618 0.419
Mn: 0.720 0.882 0.919
Mn: 0.742 0.218 0.207
Mn: 0.742 0.282 0.707
F: 0.039 0.192 0.387
F: 0.039 0.308 0.887
F: 0.197 0.562 0.644
F: 0.197 0.634 0.889
F: 0.197 0.866 0.389
F: 0.197 0.938 0.144
F: 0.250 0.515 0.423
F: 0.250 0.985 0.923
F: 0.280 0.235 0.229
F: 0.280 0.265 0.729
F: 0.374 0.577 0.229
F: 0.374 0.923 0.729
F: 0.442 0.213 0.554
F: 0.442 0.287 0.054
F: 0.558 0.713 0.946
F: 0.558 0.787 0.446
F: 0.626 0.077 0.271
F: 0.626 0.423 0.771
F: 0.720 0.735 0.271
F: 0.720 0.765 0.771
F: 0.750 0.015 0.077
F: 0.750 0.485 0.577
F: 0.803 0.062 0.856
F: 0.803 0.134 0.611
F: 0.803 0.366 0.111
F: 0.803 0.438 0.356
F: 0.961 0.692 0.113
F: 0.961 0.808 0.613

=====

Record 4
Computed powder X-ray diffraction pattern of LiMnF5 for CuKα, from DFT lattice parameters and positions (GGA+U).
No peak broadening, texture or thermal motion is included.

Most intense lines, 10 to 90 degrees two-theta, in order of rising 2θ:
d_spacing  2θ (°)  I/Imax
4.767  18.6  100
4.676  19.0  89
4.551  19.5  71
3.345  26.6  46
3.315  26.9  30
3.073  29.1  24
2.834  31.6  15
2.761  32.4  12
2.391  37.6  15
2.282  39.5  27
2.230  40.4  13
1.776  51.5  16

Crystal structure
a = 5.293 Å, b = 5.618 Å, c = 7.135 Å
α = 106.90°, β = 95.01°, γ = 114.52°
Positions (direct):
Li: 0.177 0.293 0.239
Li: 0.823 0.707 0.761
Mn: 0.500 0.000 0.000
Mn: 0.500 0.000 0.500
F: 0.126 0.832 0.007
F: 0.199 0.654 0.370
F: 0.286 0.164 0.445
F: 0.368 0.008 0.744
F: 0.490 0.666 0.873
F: 0.510 0.334 0.127
F: 0.632 0.992 0.256
F: 0.714 0.836 0.555
F: 0.801 0.346 0.630
F: 0.874 0.168 0.993

=====

Record 5
Computed powder X-ray diffraction pattern of LiMnF3 for CuKα, from DFT lattice parameters and positions (GGA+U).
No peak broadening, texture or thermal motion is included.

Most intense lines, 10 to 90 degrees two-theta, in order of rising 2θ:
d_spacing  2θ (°)  I/Imax
7.173  12.3  94
5.475  16.2  48
5.345  16.6  100
4.153  21.4  36
2.932  30.5  69
2.920  30.6  69
2.388  37.7  26
2.141  42.2  25
1.978  45.9  21
1.813  50.3  27
1.793  50.9  18
1.775  51.5  30

Crystal structure
a = 7.881 Å, b = 10.187 Å, c = 7.133 Å
α = 90.00°, β = 114.47°, γ = 90.00°
Positions (direct):
Li: 0.011 0.242 0.289
Li: 0.011 0.258 0.789
Li: 0.341 0.018 0.248
Li: 0.341 0.482 0.748
Li: 0.659 0.518 0.252
Li: 0.659 0.982 0.752
Li: 0.989 0.742 0.211
Li: 0.989 0.758 0.711
Mn: 0.225 0.009 0.652
Mn: 0.225 0.491 0.152
Mn: 0.490 0.236 0.031
Mn: 0.490 0.264 0.531
Mn: 0.510 0.736 0.469
Mn: 0.510 0.764 0.969
Mn: 0.775 0.509 0.848
Mn: 0.775 0.991 0.348
F: 0.010 0.625 0.911
F: 0.010 0.875 0.411
F: 0.218 0.127 0.375
F: 0.218 0.373 0.875
F: 0.232 0.666 0.321
F: 0.232 0.834 0.821
F: 0.280 0.098 0.982
F: 0.280 0.402 0.482
F: 0.424 0.602 0.088
F: 0.424 0.898 0.588
F: 0.495 0.133 0.767
F: 0.495 0.367 0.267
F: 0.505 0.633 0.733
F: 0.505 0.867 0.233
F: 0.576 0.102 0.412
F: 0.576 0.398 0.912
F: 0.720 0.598 0.518
F: 0.720 0.902 0.018
F: 0.768 0.166 0.179
F: 0.768 0.334 0.679
F: 0.782 0.627 0.125
F: 0.782 0.873 0.625
F: 0.990 0.125 0.589
F: 0.990 0.375 0.089

=====

Record 6
Computed powder X-ray diffraction pattern of Li3Mn2F7 for CuKα, from DFT lattice parameters and positions (GGA+U).
No peak broadening, texture or thermal motion is included.

Most intense lines, 10 to 90 degrees two-theta, in order of rising 2θ:
d_spacing  2θ (°)  I/Imax
5.359  16.5  40
4.368  20.3  100
4.073  21.8  36
3.415  26.1  28
2.940  30.4  38
2.858  31.3  42
2.724  32.9  38
2.404  37.4  34
2.318  38.8  37
1.822  50.1  53
1.806  50.5  24
1.507  61.5  21

Crystal structure
a = 6.026 Å, b = 6.026 Å, c = 10.395 Å
α = 99.07°, β = 99.07°, γ = 50.85°
Positions (direct):
Li: 0.061 0.553 0.131
Li: 0.234 0.766 0.500
Li: 0.352 0.882 0.252
Li: 0.553 0.061 0.631
Li: 0.766 0.234 0.000
Li: 0.882 0.352 0.752
Mn: 0.155 0.638 0.786
Mn: 0.480 0.963 0.969
Mn: 0.638 0.155 0.286
Mn: 0.963 0.480 0.469
F: 0.045 0.886 0.225
F: 0.072 0.231 0.030
F: 0.220 0.296 0.304
F: 0.231 0.072 0.530
F: 0.296 0.220 0.804
F: 0.322 0.474 0.596
F: 0.474 0.322 0.096
F: 0.534 0.584 0.878
F: 0.584 0.534 0.378
F: 0.647 0.791 0.159
F: 0.791 0.647 0.659
F: 0.827 0.895 0.448
F: 0.886 0.045 0.725
F: 0.895 0.827 0.948

=====

Record 7
Computed powder X-ray diffraction pattern of LiMn2F5 for CuKα, from DFT lattice parameters and positions (GGA+U).
No peak broadening, texture or thermal motion is included.

Most intense lines, 10 to 90 degrees two-theta, in order of rising 2θ:
d_spacing  2θ (°)  I/Imax
6.358  13.9  33
3.993  22.3  37
3.949  22.5  100
3.549  25.1  35
3.127  28.5  53
2.978  30.0  62
2.955  30.2  57
2.332  38.6  29
2.225  40.5  32
2.151  42.0  26
2.064  43.9  25
1.720  53.3  29

Crystal structure
a = 8.064 Å, b = 8.064 Å, c = 10.106 Å
α = 117.00°, β = 117.00°, γ = 49.05°
Positions (direct):
Li: 0.076 0.302 0.319
Li: 0.302 0.076 0.819
Li: 0.698 0.924 0.181
Li: 0.924 0.698 0.681
Mn: 0.172 0.727 0.514
Mn: 0.221 0.494 0.149
Mn: 0.273 0.828 0.986
Mn: 0.494 0.221 0.649
Mn: 0.506 0.779 0.351
Mn: 0.727 0.172 0.014
Mn: 0.779 0.506 0.851
Mn: 0.828 0.273 0.486
F: 0.049 0.101 0.138
F: 0.101 0.049 0.638
F: 0.120 0.279 0.961
F: 0.154 0.472 0.316
F: 0.202 0.561 0.643
F: 0.279 0.120 0.461
F: 0.354 0.613 0.102
F: 0.387 0.646 0.398
F: 0.439 0.798 0.857
F: 0.472 0.154 0.816
F: 0.528 0.846 0.184
F: 0.561 0.202 0.143
F: 0.613 0.354 0.602
F: 0.646 0.387 0.898
F: 0.721 0.880 0.539
F: 0.798 0.439 0.357
F: 0.846 0.528 0.684
F: 0.880 0.721 0.039
F: 0.899 0.951 0.362
F: 0.951 0.899 0.862